[1]
This entry pairs a crystal structure of Rb2Hg3I7 with its theoretical X-ray powder pattern. Radiation: Cu Kα, 1.54184 Å. Structure: a DFT-relaxed cell (GGA-PBE, Alexandria).
Kinematic intensities with the Lorentz-polarization factor, no thermal factor.

The 12 most intense peaks (15 to 90 degrees two-theta), most intense first:
| Position (°2θ) | d (Å) | I_rel |
| --- | --- | --- |
| 19.62 | 4.524 | 100 |
| 20.64 | 4.303 | 91 |
| 21.58 | 4.117 | 87 |
| 35.98 | 2.496 | 58 |
| 39.11 | 2.303 | 54 |
| 15.29 | 5.796 | 54 |
| 23.19 | 3.836 | 52 |
| 32.95 | 2.719 | 52 |
| 30.43 | 2.938 | 48 |
| 24.22 | 3.675 | 45 |
| 21.78 | 4.080 | 41 |
| 37.53 | 2.396 | 35 |

```
Rb2Hg3I7
1.0
17.7277 -4.0800 0.0000
17.7277 4.0800 0.0000
0.0000 0.0000 8.4660
Rb Hg I
4 6 14
direct
0.1304 0.6693 0.5000 Rb
0.3307 0.8696 0.5000 Rb
0.6693 0.1304 0.0000 Rb
0.8696 0.3307 0.0000 Rb
0.0765 0.5007 0.0235 Hg
0.1979 0.8021 0.9407 Hg
0.4993 0.9235 0.0235 Hg
0.5007 0.0765 0.5235 Hg
0.8021 0.1979 0.4407 Hg
0.9235 0.4993 0.5235 Hg
0.0713 0.2443 0.6863 I
0.1374 0.8626 0.3272 I
0.1648 0.4008 0.6853 I
0.2443 0.0713 0.1863 I
0.2534 0.6037 0.9165 I
0.3963 0.7466 0.9165 I
0.4008 0.1648 0.1853 I
0.5992 0.8352 0.6853 I
0.6037 0.2534 0.4165 I
0.7466 0.3963 0.4165 I
0.7557 0.9287 0.6863 I
0.8352 0.5992 0.1853 I
0.8626 0.1374 0.8272 I
0.9287 0.7557 0.1863 I
```



[2]
This entry pairs a crystal structure of Al8FePd2 with its theoretical X-ray powder pattern. Radiation: Cu Kα, 1.54184 Å. Structure: a DFT-relaxed cell (GGA-PBE, Alexandria).
Kinematic intensities with the Lorentz-polarization factor, no thermal factor.

The 12 most intense peaks (15 to 90 degrees two-theta), most intense first:
| Position (°2θ) | d (Å) | I_rel |
| --- | --- | --- |
| 41.02 | 2.200 | 100 |
| 25.72 | 3.464 | 41 |
| 25.96 | 3.432 | 36 |
| 45.99 | 1.973 | 20 |
| 46.58 | 1.950 | 15 |
| 24.64 | 3.613 | 14 |
| 50.52 | 1.807 | 13 |
| 81.72 | 1.178 | 13 |
| 32.27 | 2.774 | 11 |
| 15.15 | 5.850 | 11 |
| 44.19 | 2.049 | 10 |
| 67.53 | 1.387 | 9 |

```
Al8FePd2
1.0
-1.9733 3.6133 5.8499
1.9733 -3.6133 5.8499
1.9733 3.6133 -5.8499
Al Fe Pd
8 1 2
direct
0.1056 0.3413 0.7643 Al
0.1437 0.1437 0.0000 Al
0.2915 0.0000 0.2915 Al
0.4230 0.6587 0.7643 Al
0.5770 0.3413 0.2357 Al
0.7085 0.0000 0.7085 Al
0.8563 0.8563 0.0000 Al
0.8944 0.6587 0.2357 Al
0.0000 0.5000 0.5000 Fe
0.3177 0.8177 0.5000 Pd
0.6823 0.1823 0.5000 Pd
```



[3]
This entry pairs a crystal structure of Y2CoP2 with its theoretical X-ray powder pattern. Radiation: Cu Kα, 1.54184 Å. Structure: a DFT-relaxed cell (GGA-PBE, Alexandria).
Kinematic intensities with the Lorentz-polarization factor, no thermal factor.

The 12 most intense peaks (15 to 90 degrees two-theta), most intense first:
| Position (°2θ) | d (Å) | I_rel |
| --- | --- | --- |
| 37.84 | 2.378 | 100 |
| 35.03 | 2.561 | 57 |
| 44.81 | 2.023 | 30 |
| 42.25 | 2.139 | 28 |
| 63.28 | 1.470 | 20 |
| 31.27 | 2.860 | 19 |
| 63.83 | 1.458 | 19 |
| 28.72 | 3.108 | 17 |
| 74.32 | 1.276 | 13 |
| 39.87 | 2.261 | 12 |
| 65.67 | 1.422 | 12 |
| 59.60 | 1.551 | 9 |

```
Y2CoP2
1.0
6.3959 0.0000 0.0000
0.0000 6.3959 0.0000
0.0000 0.0000 4.2780
Y Co P
4 2 4
direct
0.1770 0.3230 0.0000 Y
0.3230 0.8230 0.0000 Y
0.6770 0.1770 0.0000 Y
0.8230 0.6770 0.0000 Y
0.0000 0.0000 0.5000 Co
0.5000 0.5000 0.5000 Co
0.1330 0.6330 0.5000 P
0.3670 0.1330 0.5000 P
0.6330 0.8670 0.5000 P
0.8670 0.3670 0.5000 P
```



[4]
This entry pairs a crystal structure of PrInBr with its theoretical X-ray powder pattern. Radiation: Cu Kα, 1.54184 Å. Structure: a DFT-relaxed cell (GGA-PBE, Alexandria).
Kinematic intensities with the Lorentz-polarization factor, no thermal factor.

The 12 most intense peaks (15 to 90 degrees two-theta), most intense first:
| Position (°2θ) | d (Å) | I_rel |
| --- | --- | --- |
| 29.16 | 3.062 | 100 |
| 39.33 | 2.291 | 48 |
| 43.99 | 2.059 | 25 |
| 49.71 | 1.834 | 22 |
| 65.15 | 1.432 | 20 |
| 40.16 | 2.245 | 13 |
| 30.96 | 2.889 | 13 |
| 34.92 | 2.569 | 11 |
| 22.57 | 3.940 | 11 |
| 57.43 | 1.605 | 10 |
| 74.55 | 1.273 | 10 |
| 60.46 | 1.531 | 10 |

```
PrInBr
1.0
2.2906 1.3225 11.2379
-2.2906 1.3225 11.2379
0.0000 -2.6450 11.2379
Pr In Br
2 2 2
direct
0.0673 0.0673 0.0673 Pr
0.9327 0.9327 0.9327 Pr
0.3473 0.3473 0.3473 In
0.6527 0.6527 0.6527 In
0.2166 0.2166 0.2166 Br
0.7834 0.7834 0.7834 Br
```



[5]
This entry pairs a crystal structure of B2PPtRhC with its theoretical X-ray powder pattern. Radiation: Cu Kα, 1.54184 Å. Structure: a DFT-relaxed cell (GGA-PBE, Alexandria).
Kinematic intensities with the Lorentz-polarization factor, no thermal factor.

The 12 most intense peaks (15 to 90 degrees two-theta), most intense first:
| Position (°2θ) | d (Å) | I_rel |
| --- | --- | --- |
| 24.10 | 3.693 | 100 |
| 31.08 | 2.878 | 67 |
| 34.27 | 2.617 | 63 |
| 27.84 | 3.204 | 53 |
| 35.75 | 2.512 | 52 |
| 46.97 | 1.935 | 49 |
| 38.43 | 2.343 | 34 |
| 42.46 | 2.129 | 32 |
| 51.50 | 1.774 | 32 |
| 49.15 | 1.854 | 32 |
| 52.54 | 1.742 | 31 |
| 48.16 | 1.889 | 24 |

```
B2PPtRhC
1.0
3.8660 -1.3984 0.0000
3.8660 1.3984 0.0000
-1.8832 0.0000 6.4086
B P Pt Rh C
2 1 1 1 1
direct
0.0000 0.0000 0.0000 B
0.1958 0.1958 0.8802 B
0.1427 0.1427 0.4494 P
0.9233 0.9233 0.6293 Pt
0.6872 0.6872 0.1916 Rh
0.7963 0.7963 0.8996 C
```



[6]
This entry pairs a crystal structure of CaYHo2 with its theoretical X-ray powder pattern. Radiation: Cu Kα, 1.54184 Å. Structure: a DFT-relaxed cell (GGA-PBE, Alexandria).
Kinematic intensities with the Lorentz-polarization factor, no thermal factor.

The 12 most intense peaks (15 to 90 degrees two-theta), most intense first:
| Position (°2θ) | d (Å) | I_rel |
| --- | --- | --- |
| 31.67 | 2.825 | 100 |
| 29.91 | 2.987 | 74 |
| 30.67 | 2.915 | 69 |
| 34.24 | 2.619 | 61 |
| 29.54 | 3.023 | 47 |
| 32.61 | 2.746 | 45 |
| 52.50 | 1.743 | 42 |
| 38.83 | 2.319 | 39 |
| 29.30 | 3.049 | 35 |
| 49.95 | 1.826 | 32 |
| 62.10 | 1.495 | 25 |
| 61.64 | 1.505 | 18 |

```
CaYHo2
1.0
11.9794 -1.7417 0.0000
11.9794 1.7417 0.0000
-0.4613 0.0000 6.4162
Ca Y Ho
2 2 4
direct
0.0014 0.0014 0.2492 Ca
0.9986 0.9986 0.7508 Ca
0.2482 0.2482 0.2481 Y
0.7518 0.7518 0.7519 Y
0.1353 0.1353 0.5462 Ho
0.3729 0.3729 0.9627 Ho
0.6271 0.6271 0.0373 Ho
0.8647 0.8647 0.4538 Ho
```



[7]
This entry pairs a crystal structure of Na2AlBiSe4 with its theoretical X-ray powder pattern. Radiation: Cu Kα, 1.54184 Å. Structure: a DFT-relaxed cell (GGA-PBE, Alexandria).
Kinematic intensities with the Lorentz-polarization factor, no thermal factor.

The 12 most intense peaks (15 to 90 degrees two-theta), most intense first:
| Position (°2θ) | d (Å) | I_rel |
| --- | --- | --- |
| 21.74 | 4.088 | 100 |
| 27.96 | 3.191 | 88 |
| 37.87 | 2.376 | 79 |
| 17.57 | 5.049 | 69 |
| 47.73 | 1.905 | 65 |
| 36.84 | 2.440 | 53 |
| 48.08 | 1.892 | 50 |
| 21.53 | 4.128 | 45 |
| 35.70 | 2.515 | 44 |
| 38.26 | 2.352 | 37 |
| 16.79 | 5.281 | 35 |
| 31.79 | 2.815 | 34 |

```
Na2AlBiSe4
1.0
9.4099 0.0000 0.0000
0.0000 8.2562 0.0000
0.0000 0.0000 6.3812
Na Al Bi Se
4 2 2 8
direct
0.2464 0.1656 0.0000 Na
0.2536 0.8344 0.5000 Na
0.7464 0.8344 0.5000 Na
0.7536 0.1656 0.0000 Na
0.0000 0.6625 0.0504 Al
0.5000 0.3375 0.5504 Al
0.0000 0.3311 0.5219 Bi
0.5000 0.6689 0.0219 Bi
0.0000 0.3770 0.9507 Se
0.0000 0.6489 0.4309 Se
0.2116 0.8118 0.9660 Se
0.2884 0.1882 0.4660 Se
0.5000 0.3511 0.9309 Se
0.5000 0.6230 0.4507 Se
0.7116 0.1882 0.4660 Se
0.7884 0.8118 0.9660 Se
```



[8]
This entry pairs a crystal structure of CsNdMnCl6 with its theoretical X-ray powder pattern. Radiation: Cu Kα, 1.54184 Å. Structure: a DFT-relaxed cell (GGA-PBE, Alexandria).
Kinematic intensities with the Lorentz-polarization factor, no thermal factor.

The 12 most intense peaks (15 to 90 degrees two-theta), most intense first:
| Position (°2θ) | d (Å) | I_rel |
| --- | --- | --- |
| 21.04 | 4.223 | 100 |
| 22.83 | 3.895 | 50 |
| 38.25 | 2.353 | 36 |
| 27.89 | 3.199 | 28 |
| 21.82 | 4.074 | 26 |
| 33.03 | 2.712 | 24 |
| 21.17 | 4.197 | 21 |
| 42.83 | 2.111 | 20 |
| 32.07 | 2.791 | 20 |
| 34.29 | 2.615 | 19 |
| 36.84 | 2.440 | 19 |
| 39.04 | 2.307 | 17 |

```
CsNdMnCl6
1.0
-4.7101 5.0251 6.9293
4.7101 -5.0251 6.9293
4.7101 5.0251 -6.9293
Cs Nd Mn Cl
2 2 2 12
direct
0.2934 0.0434 0.2500 Cs
0.7066 0.9566 0.7500 Cs
0.0000 0.5000 0.5000 Nd
0.5000 0.5000 0.0000 Nd
0.0000 0.0000 0.5000 Mn
0.0000 0.5000 0.0000 Mn
0.0439 0.7939 0.2500 Cl
0.0534 0.3991 0.2128 Cl
0.0534 0.8406 0.6543 Cl
0.3137 0.1594 0.7128 Cl
0.3137 0.6009 0.1543 Cl
0.3362 0.5862 0.7500 Cl
0.6638 0.4138 0.2500 Cl
0.6863 0.3991 0.8457 Cl
0.6863 0.8406 0.2872 Cl
0.9466 0.1594 0.3457 Cl
0.9466 0.6009 0.7872 Cl
0.9561 0.2061 0.7500 Cl
```



[9]
This entry pairs a crystal structure of GdB4Rh4 with its theoretical X-ray powder pattern. Radiation: Cu Kα, 1.54184 Å. Structure: a DFT-relaxed cell (GGA-PBE, Alexandria).
Kinematic intensities with the Lorentz-polarization factor, no thermal factor.

The 12 most intense peaks (15 to 90 degrees two-theta), most intense first:
| Position (°2θ) | d (Å) | I_rel |
| --- | --- | --- |
| 39.55 | 2.279 | 100 |
| 35.65 | 2.519 | 77 |
| 39.83 | 2.263 | 73 |
| 29.10 | 3.069 | 43 |
| 44.96 | 2.016 | 34 |
| 70.80 | 1.331 | 29 |
| 33.67 | 2.662 | 23 |
| 63.99 | 1.455 | 23 |
| 23.53 | 3.782 | 22 |
| 64.18 | 1.451 | 19 |
| 70.42 | 1.337 | 18 |
| 54.35 | 1.688 | 16 |

```
GdB4Rh4
1.0
5.3481 0.0000 0.0000
0.0000 5.3481 0.0000
0.0000 0.0000 7.4944
Gd B Rh
2 8 8
direct
0.2500 0.7500 0.2500 Gd
0.7500 0.2500 0.7500 Gd
0.0815 0.2500 0.1003 B
0.2500 0.0815 0.6003 B
0.2500 0.4185 0.6003 B
0.4185 0.2500 0.1003 B
0.5815 0.7500 0.8997 B
0.7500 0.5815 0.3997 B
0.7500 0.9185 0.3997 B
0.9185 0.7500 0.8997 B
0.0012 0.7500 0.6052 Rh
0.2500 0.5012 0.8948 Rh
0.2500 0.9988 0.8948 Rh
0.4988 0.7500 0.6052 Rh
0.5012 0.2500 0.3948 Rh
0.7500 0.0012 0.1052 Rh
0.7500 0.4988 0.1052 Rh
0.9988 0.2500 0.3948 Rh
```



[10]
This entry pairs a crystal structure of CaGe6P8 with its theoretical X-ray powder pattern. Radiation: Cu Kα, 1.54184 Å. Structure: a DFT-relaxed cell (GGA-PBE, Alexandria).
Kinematic intensities with the Lorentz-polarization factor, no thermal factor.

The 12 most intense peaks (15 to 90 degrees two-theta), most intense first:
| Position (°2θ) | d (Å) | I_rel |
| --- | --- | --- |
| 32.02 | 2.795 | 100 |
| 28.36 | 3.147 | 40 |
| 47.78 | 1.903 | 35 |
| 43.99 | 2.058 | 23 |
| 26.53 | 3.360 | 23 |
| 48.67 | 1.871 | 18 |
| 54.86 | 1.674 | 18 |
| 55.40 | 1.658 | 16 |
| 25.35 | 3.513 | 16 |
| 39.98 | 2.255 | 12 |
| 51.27 | 1.782 | 11 |
| 58.68 | 1.573 | 11 |

```
CaGe6P8
1.0
5.0362 2.9076 3.5130
-5.0362 2.9076 3.5130
0.0000 -5.8153 3.5130
Ca Ge P
1 6 8
direct
0.0000 0.0000 0.0000 Ca
0.1640 0.6206 0.3299 Ge
0.3299 0.1640 0.6206 Ge
0.3794 0.6701 0.8360 Ge
0.6206 0.3299 0.1640 Ge
0.6701 0.8360 0.3794 Ge
0.8360 0.3794 0.6701 Ge
0.1583 0.8388 0.6333 P
0.1612 0.3667 0.8417 P
0.2932 0.2932 0.2932 P
0.3667 0.8417 0.1612 P
0.6333 0.1583 0.8388 P
0.7068 0.7068 0.7068 P
0.8388 0.6333 0.1583 P
0.8417 0.1612 0.3667 P
```



[11]
This entry pairs a crystal structure of PmMgCdSn with its theoretical X-ray powder pattern. Radiation: Cu Kα, 1.54184 Å. Structure: a DFT-relaxed cell (GGA-PBE, Alexandria).
Kinematic intensities with the Lorentz-polarization factor, no thermal factor.

The 12 most intense peaks (15 to 90 degrees two-theta), most intense first:
| Position (°2θ) | d (Å) | I_rel |
| --- | --- | --- |
| 33.43 | 2.681 | 100 |
| 36.92 | 2.435 | 19 |
| 39.11 | 2.303 | 16 |
| 40.28 | 2.239 | 15 |
| 64.31 | 1.449 | 15 |
| 67.26 | 1.392 | 13 |
| 68.87 | 1.363 | 12 |
| 54.87 | 1.673 | 12 |
| 70.22 | 1.340 | 12 |
| 55.78 | 1.648 | 11 |
| 57.39 | 1.606 | 11 |
| 18.22 | 4.869 | 10 |

```
PmMgCdSn
1.0
4.4782 0.0000 0.0000
0.0000 4.6069 0.0000
0.0000 0.0000 4.8695
Pm Mg Cd Sn
1 1 1 1
direct
0.0000 0.0000 0.0000 Pm
0.0000 0.5000 0.5000 Mg
0.5000 0.0000 0.5000 Cd
0.5000 0.5000 0.0000 Sn
```